Record 1
The following is a simulated XRD peak list of Pm3Cu2GePd9. It was derived from the PBE geometry in Alexandria, using CuKα.

Crystal structure
a = 5.6606 Å, b = 5.6606 Å, c = 11.3484 Å
α = 90.00°, β = 90.00°, γ = 120.00°
Fractional positions:
1 Pm 0.0000 0.0000 0.0000
2 Pm 0.3333 0.6667 0.7557
3 Pm 0.6667 0.3333 0.2443
4 Cu 0.3333 0.6667 0.1699
5 Cu 0.6667 0.3333 0.8301
6 Ge 0.0000 0.0000 0.5000
7 Pd 0.0000 0.5000 0.0000
8 Pd 0.1692 0.3384 0.3422
9 Pd 0.1692 0.8308 0.3422
10 Pd 0.3384 0.1692 0.6578
11 Pd 0.5000 0.0000 0.0000
12 Pd 0.5000 0.5000 0.0000
13 Pd 0.6616 0.8308 0.3422
14 Pd 0.8308 0.1692 0.6578
15 Pd 0.8308 0.6616 0.6578

Principal peaks in the range 10° ≤ 2θ ≤ 80°, in order of falling intensity:
Position (°2θ), d_spacing, I/Imax
40.07, 2.250, 100
37.54, 2.396, 73
23.52, 3.783, 47
49.12, 1.855, 33
66.01, 1.415, 32
23.99, 3.710, 27
43.97, 2.059, 25
29.83, 2.995, 20
39.77, 2.267, 19
45.26, 2.004, 16

***

Record 2
The following is a simulated XRD peak list of CuGe2PdSe6. It was derived from the PBE geometry in Alexandria, using CuKα.

Crystal structure
a = 8.5672 Å, b = 8.5672 Å, c = 6.5612 Å
α = 99.10°, β = 99.10°, γ = 85.12°
Fractional positions:
1 Cu 0.2452 0.7548 0.7500
2 Cu 0.7548 0.2452 0.2500
3 Ge 0.1038 0.2788 0.7880
4 Ge 0.2788 0.1038 0.2880
5 Ge 0.7212 0.8962 0.7120
6 Ge 0.8962 0.7212 0.2120
7 Pd 0.4022 0.5978 0.2500
8 Pd 0.5978 0.4022 0.7500
9 Se 0.0328 0.2120 0.1060
10 Se 0.1400 0.6127 0.4028
11 Se 0.2120 0.0328 0.6060
12 Se 0.3169 0.4752 0.8717
13 Se 0.3873 0.8600 0.0972
14 Se 0.4752 0.3169 0.3717
15 Se 0.5248 0.6831 0.6283
16 Se 0.6127 0.1400 0.9028
17 Se 0.6831 0.5248 0.1283
18 Se 0.7880 0.9672 0.3940
19 Se 0.8600 0.3873 0.5972
20 Se 0.9672 0.7880 0.8940

Principal peaks in the range 10° ≤ 2θ ≤ 80°, in order of falling intensity:
Position (°2θ), d_spacing, I/Imax
32.82, 2.729, 100
47.82, 1.902, 81
48.43, 1.879, 81
22.97, 3.872, 57
27.12, 3.288, 55
34.20, 2.622, 46
28.70, 3.110, 46
47.05, 1.932, 45
26.95, 3.309, 44
47.15, 1.928, 41

***

Record 3
The following is a simulated XRD peak list of SrCu2GePd4. It was derived from the PBE geometry in Alexandria, using CuKα.

Crystal structure
a = 9.2340 Å, b = 9.2340 Å, c = 9.2340 Å
α = 27.00°, β = 27.00°, γ = 27.00°
Fractional positions:
1 Sr 0.0000 0.0000 0.0000
2 Cu 0.2414 0.2414 0.2414
3 Cu 0.7586 0.7586 0.7586
4 Ge 0.5000 0.5000 0.5000
5 Pd 0.1342 0.1342 0.1342
6 Pd 0.4083 0.4083 0.4083
7 Pd 0.5917 0.5917 0.5917
8 Pd 0.8658 0.8658 0.8658

Principal peaks in the range 10° ≤ 2θ ≤ 80°, in order of falling intensity:
Position (°2θ), d_spacing, I/Imax
41.90, 2.156, 100
36.11, 2.487, 60
44.55, 2.034, 38
33.60, 2.667, 31
76.54, 1.245, 17
56.49, 1.629, 16
72.76, 1.300, 15
78.39, 1.220, 14
62.81, 1.479, 13
29.19, 3.059, 12

***

Record 4
The following is a simulated XRD peak list of Pm3Cu7Ge4. It was derived from the PBE geometry in Alexandria, using CuKα.

Crystal structure
a = 8.0277 Å, b = 8.0277 Å, c = 9.1284 Å
α = 124.49°, β = 124.49°, γ = 30.53°
Fractional positions:
1 Pm 0.0000 0.0000 0.0000
2 Pm 0.3041 0.3041 0.3003
3 Pm 0.6959 0.6959 0.6997
4 Cu 0.0000 0.0000 0.5000
5 Cu 0.1387 0.1387 0.8685
6 Cu 0.3326 0.3326 0.6844
7 Cu 0.4975 0.4975 0.2978
8 Cu 0.5025 0.5025 0.7022
9 Cu 0.6674 0.6674 0.3156
10 Cu 0.8613 0.8613 0.1315
11 Ge 0.1247 0.1247 0.4092
12 Ge 0.3415 0.3415 0.9704
13 Ge 0.6585 0.6585 0.0296
14 Ge 0.8753 0.8753 0.5908

Principal peaks in the range 10° ≤ 2θ ≤ 80°, in order of falling intensity:
Position (°2θ), d_spacing, I/Imax
36.06, 2.491, 100
36.41, 2.468, 52
42.79, 2.113, 42
30.07, 2.972, 22
39.20, 2.298, 22
37.04, 2.427, 20
43.29, 2.090, 19
57.48, 1.603, 15
41.88, 2.157, 14
36.58, 2.457, 13

***

Record 5
The following is a simulated XRD peak list of Pm2Cu3Ge2. It was derived from the PBE geometry in Alexandria, using CuKα.

Crystal structure
a = 3.8353 Å, b = 18.1068 Å, c = 4.1365 Å
α = 90.00°, β = 90.00°, γ = 90.00°
Fractional positions:
1 Pm 0.0000 0.1573 0.0000
2 Pm 0.0000 0.8427 0.0000
3 Pm 0.5000 0.3427 0.0000
4 Pm 0.5000 0.6573 0.0000
5 Cu 0.0000 0.0000 0.0000
6 Cu 0.0000 0.4357 0.5000
7 Cu 0.0000 0.5643 0.5000
8 Cu 0.5000 0.0643 0.5000
9 Cu 0.5000 0.5000 0.0000
10 Cu 0.5000 0.9357 0.5000
11 Ge 0.0000 0.2956 0.5000
12 Ge 0.0000 0.7044 0.5000
13 Ge 0.5000 0.2044 0.5000
14 Ge 0.5000 0.7956 0.5000

Principal peaks in the range 10° ≤ 2θ ≤ 80°, in order of falling intensity:
Position (°2θ), d_spacing, I/Imax
32.21, 2.779, 100
42.14, 2.145, 49
35.20, 2.549, 40
36.87, 2.438, 39
62.38, 1.489, 29
43.77, 2.068, 28
47.41, 1.918, 22
61.52, 1.507, 18
40.62, 2.221, 17
66.49, 1.406, 16

***

Record 6
The following is a simulated XRD peak list of Pm3Cu2Ge3. It was derived from the PBE geometry in Alexandria, using CuKα.

Crystal structure
a = 5.8092 Å, b = 5.8092 Å, c = 14.5223 Å
α = 90.00°, β = 90.00°, γ = 136.41°
Fractional positions:
1 Pm 0.0862 0.9138 0.6118
2 Pm 0.0862 0.9138 0.8882
3 Pm 0.3689 0.6311 0.7500
4 Pm 0.6311 0.3689 0.2500
5 Pm 0.9138 0.0862 0.1118
6 Pm 0.9138 0.0862 0.3882
7 Cu 0.2100 0.7900 0.0926
8 Cu 0.2100 0.7900 0.4074
9 Cu 0.7900 0.2100 0.5926
10 Cu 0.7900 0.2100 0.9074
11 Ge 0.3324 0.6676 0.2500
12 Ge 0.3842 0.6158 0.5403
13 Ge 0.3842 0.6158 0.9597
14 Ge 0.6158 0.3842 0.0403
15 Ge 0.6158 0.3842 0.4597
16 Ge 0.6676 0.3324 0.7500

Principal peaks in the range 10° ≤ 2θ ≤ 80°, in order of falling intensity:
Position (°2θ), d_spacing, I/Imax
33.29, 2.691, 100
33.01, 2.713, 55
41.88, 2.157, 34
37.49, 2.399, 34
41.06, 2.198, 22
35.09, 2.557, 19
37.15, 2.420, 17
38.20, 2.356, 17
57.19, 1.611, 15
54.47, 1.685, 11

***

Record 7
The following is a simulated XRD peak list of Pm3CuGe. It was derived from the PBE geometry in Alexandria, using CuKα.

Crystal structure
a = 4.3260 Å, b = 7.4549 Å, c = 8.5546 Å
α = 91.56°, β = 90.04°, γ = 106.84°
Fractional positions:
1 Pm 0.0529 0.1067 0.3058
2 Pm 0.2359 0.4722 0.6810
3 Pm 0.3968 0.7973 0.0794
4 Pm 0.6032 0.2027 0.9206
5 Pm 0.7641 0.5278 0.3190
6 Pm 0.9471 0.8933 0.6942
7 Cu 0.2094 0.4169 0.0564
8 Cu 0.7906 0.5831 0.9436
9 Ge 0.4072 0.8150 0.4406
10 Ge 0.5928 0.1850 0.5594

Principal peaks in the range 10° ≤ 2θ ≤ 80°, in order of falling intensity:
Position (°2θ), d_spacing, I/Imax
30.17, 2.962, 100
30.00, 2.978, 86
37.80, 2.380, 69
29.62, 3.016, 63
41.76, 2.163, 49
38.19, 2.357, 47
32.22, 2.778, 45
41.10, 2.196, 32
58.95, 1.567, 26
31.38, 2.850, 25

***

Record 8
The following is a simulated XRD peak list of Pm8CuGe5. It was derived from the PBE geometry in Alexandria, using CuKα.

Crystal structure
a = 7.8655 Å, b = 7.8655 Å, c = 7.8655 Å
α = 109.83°, β = 109.83°, γ = 108.75°
Fractional positions:
1 Pm 0.0009 0.8863 0.2582
2 Pm 0.1137 0.3718 0.1146
3 Pm 0.1277 0.3794 0.6204
4 Pm 0.2573 0.9991 0.8854
5 Pm 0.4927 0.8723 0.2518
6 Pm 0.6206 0.2409 0.7482
7 Pm 0.6282 0.7427 0.7418
8 Pm 0.7591 0.5073 0.3796
9 Cu 0.5000 0.5000 0.0000
10 Ge 0.2500 0.7500 0.5000
11 Ge 0.3772 0.2538 0.3745
12 Ge 0.7462 0.1207 0.1234
13 Ge 0.8793 0.0026 0.6255
14 Ge 0.9974 0.6228 0.8766

Principal peaks in the range 10° ≤ 2θ ≤ 80°, in order of falling intensity:
Position (°2θ), d_spacing, I/Imax
31.26, 2.861, 100
30.90, 2.894, 50
36.88, 2.437, 31
37.06, 2.426, 30
37.17, 2.419, 29
51.51, 1.774, 20
49.26, 1.850, 18
27.72, 3.218, 17
63.36, 1.468, 15
51.29, 1.781, 14

***

Record 9
The following is a simulated XRD peak list of Pm4CuGe. It was derived from the PBE geometry in Alexandria, using CuKα.

Crystal structure
a = 4.9712 Å, b = 4.9712 Å, c = 7.1432 Å
α = 90.00°, β = 90.00°, γ = 90.00°
Fractional positions:
1 Pm 0.0000 0.5000 0.2441
2 Pm 0.0000 0.5000 0.7559
3 Pm 0.5000 0.0000 0.2441
4 Pm 0.5000 0.0000 0.7559
5 Cu 0.0000 0.0000 0.0000
6 Ge 0.5000 0.5000 0.5000

Principal peaks in the range 10° ≤ 2θ ≤ 80°, in order of falling intensity:
Position (°2θ), d_spacing, I/Imax
35.84, 2.505, 100
36.14, 2.486, 49
25.34, 3.515, 45
64.80, 1.439, 35
24.93, 3.572, 23
44.40, 2.040, 20
64.22, 1.450, 18
52.03, 1.758, 17
21.78, 4.080, 14
75.97, 1.253, 11

***

Record 10
The following is a simulated XRD peak list of Pm2CuGe3Pt4. It was derived from the PBE geometry in Alexandria, using CuKα.

Crystal structure
a = 4.3394 Å, b = 4.3394 Å, c = 10.0926 Å
α = 90.00°, β = 90.00°, γ = 90.00°
Fractional positions:
1 Pm 0.0000 0.5000 0.2398
2 Pm 0.5000 0.0000 0.7602
3 Cu 0.5000 0.5000 0.0000
4 Ge 0.0000 0.0000 0.0000
5 Ge 0.0000 0.5000 0.6319
6 Ge 0.5000 0.0000 0.3681
7 Pt 0.0000 0.0000 0.5000
8 Pt 0.0000 0.5000 0.8721
9 Pt 0.5000 0.0000 0.1279
10 Pt 0.5000 0.5000 0.5000

Principal peaks in the range 10° ≤ 2θ ≤ 80°, in order of falling intensity:
Position (°2θ), d_spacing, I/Imax
34.20, 2.622, 100
41.62, 2.170, 75
33.71, 2.659, 59
46.60, 1.949, 35
30.45, 2.936, 33
54.59, 1.681, 31
60.33, 1.534, 25
49.82, 1.830, 24
71.21, 1.324, 24
66.88, 1.399, 20

***

Record 11
The following is a simulated XRD peak list of Pm2CuGe6Rh. It was derived from the PBE geometry in Alexandria, using CuKα.

Crystal structure
a = 12.8883 Å, b = 12.8883 Å, c = 12.8883 Å
α = 27.93°, β = 27.93°, γ = 27.93°
Fractional positions:
1 Pm 0.1118 0.1118 0.1118
2 Pm 0.3020 0.3020 0.3020
3 Pm 0.6980 0.6980 0.6980
4 Pm 0.8882 0.8882 0.8882
5 Cu 0.0000 0.0000 0.0000
6 Cu 0.5000 0.5000 0.5000
7 Ge 0.0635 0.6624 0.6624
8 Ge 0.2318 0.2318 0.6674
9 Ge 0.2318 0.6674 0.2318
10 Ge 0.3326 0.7682 0.7682
11 Ge 0.3376 0.3376 0.9365
12 Ge 0.3376 0.9365 0.3376
13 Ge 0.6624 0.0635 0.6624
14 Ge 0.6624 0.6624 0.0635
15 Ge 0.6674 0.2318 0.2318
16 Ge 0.7682 0.3326 0.7682
17 Ge 0.7682 0.7682 0.3326
18 Ge 0.9365 0.3376 0.3376
19 Rh 0.4315 0.4315 0.4315
20 Rh 0.5685 0.5685 0.5685

Principal peaks in the range 10° ≤ 2θ ≤ 80°, in order of falling intensity:
Position (°2θ), d_spacing, I/Imax
37.45, 2.402, 100
35.45, 2.532, 90
28.70, 3.110, 71
29.21, 3.057, 56
28.85, 3.094, 47
59.44, 1.555, 43
41.41, 2.180, 33
46.91, 1.937, 30
36.17, 2.484, 29
44.78, 2.024, 20

***

Record 12
The following is a simulated XRD peak list of PrCu4Ge2. It was derived from the PBE geometry in Alexandria, using CuKα.

Crystal structure
a = 8.0753 Å, b = 8.0753 Å, c = 8.0753 Å
α = 29.91°, β = 29.91°, γ = 29.91°
Fractional positions:
1 Pr 0.0000 0.0000 0.0000
2 Cu 0.1414 0.1414 0.1414
3 Cu 0.4398 0.4398 0.4398
4 Cu 0.5602 0.5602 0.5602
5 Cu 0.8586 0.8586 0.8586
6 Ge 0.2490 0.2490 0.2490
7 Ge 0.7510 0.7510 0.7510

Principal peaks in the range 10° ≤ 2θ ≤ 80°, in order of falling intensity:
Position (°2θ), d_spacing, I/Imax
43.42, 2.084, 100
36.88, 2.437, 77
29.16, 3.062, 28
39.96, 2.256, 24
58.25, 1.584, 19
56.89, 1.619, 19
31.44, 2.846, 18
75.37, 1.261, 17
79.68, 1.203, 16
24.97, 3.567, 14

***

Record 13
The following is a simulated XRD peak list of Pr3CuGeS7. It was derived from the PBE geometry in Alexandria, using CuKα.

Crystal structure
a = 10.2768 Å, b = 10.2768 Å, c = 5.8946 Å
α = 90.00°, β = 90.00°, γ = 120.00°
Fractional positions:
1 Pr 0.1269 0.3562 0.0000
2 Pr 0.2293 0.8731 0.0000
3 Pr 0.3562 0.2293 0.5000
4 Pr 0.6438 0.7707 0.0000
5 Pr 0.7707 0.1269 0.5000
6 Pr 0.8731 0.6438 0.5000
7 Cu 0.0000 0.0000 0.4718
8 Cu 0.0000 0.0000 0.9718
9 Ge 0.3333 0.6667 0.5824
10 Ge 0.6667 0.3333 0.0824
11 S 0.0898 0.2513 0.4819
12 S 0.1053 0.5846 0.7360
13 S 0.1614 0.9102 0.4819
14 S 0.2513 0.1614 0.9819
15 S 0.3333 0.6667 0.2086
16 S 0.4154 0.5207 0.7360
17 S 0.4793 0.8947 0.7360
18 S 0.5207 0.1053 0.2360
19 S 0.5846 0.4793 0.2360
20 S 0.6667 0.3333 0.7086
21 S 0.7487 0.8386 0.4819
22 S 0.8386 0.0898 0.9819
23 S 0.8947 0.4154 0.2360
24 S 0.9102 0.7487 0.9819

Principal peaks in the range 10° ≤ 2θ ≤ 80°, in order of falling intensity:
Position (°2θ), d_spacing, I/Imax
25.07, 3.552, 100
34.92, 2.569, 45
40.70, 2.217, 39
36.40, 2.468, 39
39.58, 2.277, 33
22.96, 3.873, 30
30.33, 2.947, 28
26.50, 3.364, 25
46.91, 1.937, 24
48.08, 1.892, 23